1.
Computed powder diffraction line list of Ac4InHg7 for Cu Kα, from a crystal structure in Alexandria, relaxed with GGA-PBE.
Intensities are scaled so that the largest is 100.

Atomic structure:
Cell: 8.569 8.569 10.106 Å, 119.70 119.70 37.24°
Positions (direct):
Ac 0.062 0.062 0.245
Ac 0.231 0.231 0.758
Ac 0.769 0.769 0.242
Ac 0.938 0.938 0.755
In 0.500 0.500 0.500
Hg 0.000 0.000 0.500
Hg 0.173 0.173 0.039
Hg 0.307 0.307 0.493
Hg 0.406 0.406 0.143
Hg 0.594 0.594 0.857
Hg 0.693 0.693 0.507
Hg 0.827 0.827 0.961

Peak list (12 most intense, 2θ from 10° to 90°, sorted by position)
2theta	d/Å	I_rel
28.2	3.170	23
31.0	2.885	84
31.3	2.855	52
32.7	2.736	100
33.1	2.706	33
42.5	2.129	16
43.7	2.071	14
47.2	1.924	27
57.3	1.607	17
57.6	1.601	17
58.4	1.580	12
58.8	1.570	14

***

2.
Computed powder diffraction line list of SrI2O6 for Cu Kα, from a crystal structure in Alexandria, relaxed with GGA-PBE.
Intensities are scaled so that the largest is 100.

Atomic structure:
Cell: 6.046 6.144 18.121 Å, 90.00 90.00 90.00°
Positions (direct):
Sr 0.205 0.188 0.097
Sr 0.295 0.812 0.597
Sr 0.705 0.312 0.903
Sr 0.795 0.688 0.403
I 0.044 0.851 0.925
I 0.249 0.279 0.785
I 0.251 0.721 0.285
I 0.456 0.149 0.425
I 0.544 0.649 0.075
I 0.749 0.221 0.215
I 0.751 0.779 0.715
I 0.956 0.351 0.575
O 0.019 0.530 0.291
O 0.026 0.449 0.822
O 0.030 0.579 0.514
O 0.135 0.448 0.651
O 0.141 0.147 0.533
O 0.173 0.873 0.369
O 0.327 0.127 0.869
O 0.359 0.853 0.033
O 0.365 0.552 0.151
O 0.470 0.421 0.014
O 0.474 0.551 0.322
O 0.481 0.470 0.791
O 0.519 0.970 0.709
O 0.526 0.051 0.178
O 0.530 0.921 0.486
O 0.635 0.052 0.349
O 0.641 0.353 0.467
O 0.673 0.627 0.631
O 0.827 0.373 0.131
O 0.859 0.647 0.967
O 0.865 0.948 0.849
O 0.970 0.079 0.986
O 0.974 0.949 0.678
O 0.981 0.030 0.209

Peak list (12 most intense, 2θ from 10° to 90°, sorted by position)
2theta	d/Å	I_rel
20.6	4.307	40
20.8	4.273	30
21.2	4.192	56
22.9	3.892	55
24.6	3.625	26
25.4	3.508	100
28.6	3.122	40
29.5	3.025	35
33.4	2.683	32
38.4	2.344	22
44.7	2.029	21
48.6	1.873	27

***

3.
Computed powder diffraction line list of Li6GePt2 for Cu Kα, from a crystal structure in Alexandria, relaxed with GGA-PBE.
Intensities are scaled so that the largest is 100.

Atomic structure:
Cell: 9.104 9.104 9.104 Å, 28.15 28.15 28.15°
Positions (direct):
Li 0.073 0.073 0.073
Li 0.205 0.205 0.205
Li 0.308 0.308 0.308
Li 0.692 0.692 0.692
Li 0.795 0.795 0.795
Li 0.927 0.927 0.927
Ge 0.500 0.500 0.500
Pt 0.409 0.409 0.409
Pt 0.591 0.591 0.591

Peak list (12 most intense, 2θ from 10° to 90°, sorted by position)
2theta	d/Å	I_rel
20.3	4.369	26
23.4	3.794	100
24.2	3.680	31
26.9	3.309	14
28.8	3.095	32
40.8	2.214	38
41.7	2.164	25
44.8	2.024	26
46.0	1.975	20
47.6	1.912	15
59.4	1.555	16
64.4	1.447	13

***

4.
Computed powder diffraction line list of Np2Tl3CrSe6 for Cu Kα, from a crystal structure in Alexandria, relaxed with GGA-PBE.
Intensities are scaled so that the largest is 100.

Atomic structure:
Cell: 7.061 7.061 7.862 Å, 90.05 90.05 120.08°
Positions (direct):
Np 0.167 0.833 0.000
Np 0.833 0.167 0.000
Tl 0.167 0.833 0.500
Tl 0.500 0.500 0.500
Tl 0.833 0.167 0.500
Cr 0.500 0.500 0.000
Se 0.185 0.185 0.805
Se 0.185 0.501 0.195
Se 0.499 0.815 0.805
Se 0.501 0.185 0.195
Se 0.815 0.499 0.805
Se 0.815 0.815 0.195

Peak list (12 most intense, 2θ from 10° to 90°, sorted by position)
2theta	d/Å	I_rel
22.6	3.931	14
25.2	3.529	46
27.7	3.219	17
34.1	2.626	100
44.5	2.037	33
50.5	1.809	11
53.3	1.717	20
57.2	1.610	22
66.0	1.415	8
75.2	1.264	13
88.6	1.104	7
88.7	1.103	8